# 1
Starting from a DFT-relaxed cell (GGA-PBE, Alexandria), the powder X-ray diffraction pattern of TcBr2 was computed for a wavelength of 1.5418 Å.
Lines closer than 0.1° are merged.

Atomic structure:
```
TcBr2
1.0
14.437 0.000 0.000
0.000 3.646 0.000
-2.907 0.000 7.373
Tc Br
4 8
direct
0.012 0.000 0.144
0.488 0.500 0.856
0.512 0.500 0.144
0.988 0.000 0.856
0.104 0.500 0.824
0.141 0.500 0.279
0.359 0.000 0.721
0.396 0.000 0.176
0.604 0.000 0.824
0.641 0.000 0.279
0.859 0.500 0.721
0.896 0.500 0.176
```

The 10 most intense peaks (2θ from 10° to 80°), low angle first:
d_spacing	2θ/deg	I_rel	index
7.373	12.00	79.5	0 0 1
6.715	13.18	100.0	2 0 0
6.231	14.21	68.4	2 0 -1
3.687	24.14	48.8	0 0 2
2.827	31.65	92.2	3 1 0
2.677	33.47	33.6	1 1 -2
2.264	39.83	40.2	5 1 -1
2.163	41.76	48.1	5 1 0
2.028	44.69	34.3	3 1 2
1.931	47.07	36.4	5 1 -3



# 2
Starting from a DFT-relaxed cell (GGA-PBE, Alexandria), the powder X-ray diffraction pattern of TcBr4 was computed for a wavelength of 1.5418 Å.
Lines closer than 0.1° are merged.

Atomic structure:
```
TcBr4
1.0
6.477 0.000 0.000
0.000 13.569 0.000
0.000 0.000 16.070
Tc Br
8 32
direct
0.097 0.126 0.183
0.097 0.374 0.683
0.403 0.626 0.183
0.403 0.874 0.683
0.597 0.126 0.317
0.597 0.374 0.817
0.903 0.626 0.317
0.903 0.874 0.817
0.044 0.738 0.419
0.044 0.762 0.919
0.078 0.731 0.197
0.078 0.769 0.697
0.230 0.521 0.304
0.230 0.979 0.804
0.239 0.013 0.081
0.239 0.487 0.581
0.261 0.513 0.081
0.261 0.987 0.581
0.270 0.021 0.304
0.270 0.479 0.804
0.422 0.231 0.197
0.422 0.269 0.697
0.456 0.238 0.419
0.456 0.262 0.919
0.544 0.738 0.081
0.544 0.762 0.581
0.578 0.731 0.303
0.578 0.769 0.803
0.730 0.521 0.196
0.730 0.979 0.696
0.739 0.013 0.419
0.739 0.487 0.919
0.761 0.513 0.419
0.761 0.987 0.919
0.770 0.021 0.196
0.770 0.479 0.696
0.922 0.231 0.303
0.922 0.269 0.803
0.956 0.238 0.081
0.956 0.262 0.581
```

The 10 most intense peaks (2θ from 10° to 80°), low angle first:
d_spacing	2θ/deg	I_rel	index
8.035	11.01	50.5	0 0 2
6.250	14.17	100.0	0 2 1
4.727	18.77	23.2	1 1 2
3.392	26.27	22.3	0 4 0
3.050	29.28	72.8	1 2 4
2.923	30.59	55.2	2 2 0
2.725	32.87	47.1	1 3 4
2.406	37.37	17.3	1 4 4
2.124	42.55	19.5	1 5 4
1.902	47.83	30.0	3 0 4



# 3
Starting from a DFT-relaxed cell (GGA-PBE, Alexandria), the powder X-ray diffraction pattern of TcTeBr2 was computed for a wavelength of 1.5418 Å.
Lines closer than 0.1° are merged.

Atomic structure:
```
TcTeBr2
1.0
9.345 0.000 0.000
0.000 9.345 0.000
0.000 0.000 5.127
Tc Te Br
4 4 8
direct
0.000 0.000 0.000
0.000 0.500 0.250
0.500 0.000 0.750
0.500 0.500 0.500
0.000 0.000 0.500
0.000 0.500 0.750
0.500 0.000 0.250
0.500 0.500 0.000
0.111 0.750 0.125
0.250 0.111 0.875
0.250 0.389 0.375
0.389 0.750 0.625
0.611 0.250 0.625
0.750 0.611 0.375
0.750 0.889 0.875
0.889 0.250 0.125
```

The 10 most intense peaks (2θ from 10° to 80°), low angle first:
d_spacing	2θ/deg	I_rel	index
4.672	18.99	100.0	2 0 0
3.304	26.99	66.8	2 2 0
3.239	27.54	84.2	2 1 1
2.955	30.24	39.5	3 1 0
2.390	37.63	87.2	1 1 2
2.336	38.54	34.8	4 0 0
2.090	43.30	94.4	4 2 0
1.936	46.92	76.1	3 1 2
1.671	54.96	32.7	3 3 2
1.491	62.27	32.3	5 1 2



# 4
Starting from a DFT-relaxed cell (GGA-PBE, Alexandria), the powder X-ray diffraction pattern of TlTcBr2 was computed for a wavelength of 1.5418 Å.
Lines closer than 0.1° are merged.

Atomic structure:
```
TlTcBr2
1.0
3.405 0.000 0.000
0.000 3.437 0.000
-0.012 0.000 9.424
Tl Tc Br
1 1 2
direct
0.000 0.000 0.000
0.500 0.000 0.500
0.500 0.500 0.302
0.500 0.500 0.698
```

The 10 most intense peaks (2θ from 10° to 80°), low angle first:
d_spacing	2θ/deg	I_rel	index
4.712	18.83	28.2	0 0 2
3.202	27.86	97.8	1 0 -1
3.141	28.41	20.4	0 0 3
2.777	32.24	100.0	0 1 2
2.760	32.44	27.7	1 0 2
2.419	37.17	25.3	1 1 0
2.343	38.42	41.2	1 1 1
1.917	47.44	69.4	1 1 3
1.514	61.21	21.3	1 2 -1
1.451	64.17	27.3	2 1 2



Number 4 is which compound?
TlTcBr2